Starting from the PBE geometry in Alexandria, the XRD peak list of Zr2CdFeAg was calculated for Cu Kα (weighted mean of Kα1 and Kα2).

Cell and atoms:
```
data_Zr2CdFeAg
_symmetry_space_group_name_H-M 'P 1'
_symmetry_Int_Tables_number 1
_cell_length_a 4.7067
_cell_length_b 4.7067
_cell_length_c 4.9789
_cell_angle_alpha 90.00
_cell_angle_beta 90.00
_cell_angle_gamma 90.00
loop_
_symmetry_equiv_pos_as_xyz
'x,y,z'
loop_
_atom_site_label
_atom_site_fract_x
_atom_site_fract_y
_atom_site_fract_z
Zr1 0.0000 0.5000 0.0000
Zr2 0.5000 0.0000 0.0000
Cd1 0.0000 0.0000 0.5000
Fe1 0.0000 0.0000 0.0000
Ag1 0.5000 0.5000 0.5000
```

Peak list (10 most intense, 5 to 70 degrees two-theta, most intense first)
- hkl 1 1 1, 32.36 deg, 2.767 Å, intensity 100.0
- hkl 2 0 0, 38.24 deg, 2.353 Å, intensity 55.9
- hkl 2 0 2, 53.59 deg, 1.710 Å, intensity 40.4
- hkl 0 0 2, 36.08 deg, 2.489 Å, intensity 33.0
- hkl 3 1 1, 65.45 deg, 1.426 Å, intensity 24.7
- hkl 2 2 2, 67.73 deg, 1.383 Å, intensity 19.3
- hkl 2 2 0, 55.20 deg, 1.664 Å, intensity 18.4
- hkl 1 1 3, 62.54 deg, 1.485 Å, intensity 14.2
- hkl 1 1 0, 26.79 deg, 3.328 Å, intensity 6.5
- hkl 1 0 0, 18.85 deg, 4.707 Å, intensity 6.0